1.
Starting from a GGA-PBE-relaxed structure, the XRD peak list of PrNd6Er5 was computed for CuKα.
Kinematic intensities with the Lorentz-polarization factor, no thermal factor.

Structural model:
```
data_PrNd6Er5
_symmetry_space_group_name_H-M 'C m m m'
_symmetry_Int_Tables_number 65
_symmetry_space_group_name_Hall '-C 2 2'
_cell_length_a 5.124
_cell_length_b 15.403
_cell_length_c 10.115
_cell_angle_alpha 90.00
_cell_angle_beta 90.00
_cell_angle_gamma 90.00
loop_
_atom_site_label
_atom_site_type_symbol
_atom_site_fract_x
_atom_site_fract_y
_atom_site_fract_z
_atom_site_occupancy
Pr1 Pr 0.000 0.000 0.000 1
Nd1 Nd 0.000 0.167 0.252 1
Nd2 Nd 0.000 0.500 0.253 1
Er1 Er 0.000 0.000 0.500 1
Er2 Er 0.000 0.332 0.000 1
Er3 Er 0.000 0.334 0.500 1
```

Largest 10 diffraction maxima, low angle first, 10° ≤ 2θ ≤ 90°:
| index | 2theta | I/Imax |
| --- | --- | --- |
| 1 3 2 | 30.3 | 100 |
| 2 0 0 | 35.0 | 34 |
| 0 0 4 | 35.5 | 16 |
| 2 6 0 | 50.3 | 12 |
| 2 0 4 | 50.7 | 24 |
| 3 3 2 | 59.9 | 29 |
| 1 3 6 | 60.6 | 14 |
| 2 6 4 | 63.1 | 12 |
| 3 9 2 | 81.9 | 6 |
| 3 3 6 | 82.5 | 12 |



2.
Starting from a GGA-PBE-relaxed structure, the XRD peak list of PrNdEr3 was computed for CuKα.
Kinematic intensities with the Lorentz-polarization factor, no thermal factor.

Structural model:
```
data_PrNdEr3
_symmetry_space_group_name_H-M 'P 1 21/m 1'
_symmetry_Int_Tables_number 11
_cell_length_a 3.637
_cell_length_b 11.576
_cell_length_c 8.676
_cell_angle_alpha 90.00
_cell_angle_beta 102.09
_cell_angle_gamma 90.00
loop_
_symmetry_equiv_pos_as_xyz
'x,y,z'
'-x,-y,-z'
'-x,y+1/2,-z'
'x,-y+1/2,z'
loop_
_atom_site_label
_atom_site_type_symbol
_atom_site_fract_x
_atom_site_fract_y
_atom_site_fract_z
_atom_site_occupancy
Pr1 Pr 0.014 0.250 0.026 1
Nd1 Nd 0.312 0.750 0.624 1
Er1 Er 0.160 0.503 0.319 1
Er2 Er 0.348 0.250 0.695 1
```

Largest 10 diffraction maxima, low angle first, 10° ≤ 2θ ≤ 90°:
| index | 2theta | I/Imax |
| --- | --- | --- |
| 0 0 1 | 10.4 | 16 |
| 0 4 0 | 30.9 | 32 |
| 0 0 3 | 31.6 | 23 |
| 1 2 -2 | 33.1 | 100 |
| 0 4 3 | 44.8 | 18 |
| 2 0 -1 | 50.2 | 8 |
| 1 6 -2 | 56.4 | 22 |
| 1 2 -5 | 57.3 | 14 |
| 2 4 -1 | 60.1 | 10 |
| 2 4 -4 | 69.5 | 10 |



3.
Starting from a GGA-PBE-relaxed structure, the XRD peak list of PrNd3Er5 was computed for CuKα.
Kinematic intensities with the Lorentz-polarization factor, no thermal factor.

Structural model:
```
data_PrNd3Er5
_symmetry_space_group_name_H-M 'C 1 2/m 1'
_symmetry_Int_Tables_number 12
_cell_length_a 15.424
_cell_length_b 11.266
_cell_length_c 10.035
_cell_angle_alpha 90.00
_cell_angle_beta 130.49
_cell_angle_gamma 90.00
loop_
_symmetry_equiv_pos_as_xyz
'x,y,z'
'-x,-y,-z'
'-x,y,-z'
'x,-y,z'
'x+1/2,y+1/2,z'
'-x+1/2,-y+1/2,-z'
'-x+1/2,y+1/2,-z'
'x+1/2,-y+1/2,z'
loop_
_atom_site_label
_atom_site_type_symbol
_atom_site_fract_x
_atom_site_fract_y
_atom_site_fract_z
_atom_site_occupancy
Pr1 Pr 0.246 0.000 0.087 1
Nd1 Nd 0.000 0.000 0.000 1
Nd2 Nd 0.000 0.500 0.500 1
Nd3 Nd 0.009 0.500 0.210 1
Nd4 Nd 0.025 0.000 0.685 1
Er1 Er 0.000 0.260 0.000 1
Er2 Er 0.155 0.248 0.556 1
Er3 Er 0.215 0.500 0.210 1
Er4 Er 0.224 0.000 0.409 1
```

Largest 10 diffraction maxima, low angle first, 10° ≤ 2θ ≤ 90°:
| index | 2theta | I/Imax |
| --- | --- | --- |
| 2 0 -1 | 11.6 | 14 |
| 0 2 0 | 15.7 | 20 |
| 0 2 2 | 28.3 | 18 |
| 4 2 -1 | 29.2 | 38 |
| 4 0 0 | 30.5 | 12 |
| 0 4 0 | 31.8 | 100 |
| 4 2 -3 | 32.0 | 14 |
| 4 2 0 | 34.5 | 25 |
| 1 3 -3 | 39.2 | 36 |
| 0 8 0 | 66.4 | 14 |



4.
Starting from a GGA-PBE-relaxed structure, the XRD peak list of Pr2Nd3Er2 was computed for CuKα.
Kinematic intensities with the Lorentz-polarization factor, no thermal factor.

Structural model:
```
data_Pr2Nd3Er2
_symmetry_space_group_name_H-M 'P -1'
_symmetry_Int_Tables_number 2
_cell_length_a 3.652
_cell_length_b 6.285
_cell_length_c 10.924
_cell_angle_alpha 84.48
_cell_angle_beta 89.97
_cell_angle_gamma 73.14
loop_
_symmetry_equiv_pos_as_xyz
'x,y,z'
'-x,-y,-z'
loop_
_atom_site_label
_atom_site_type_symbol
_atom_site_fract_x
_atom_site_fract_y
_atom_site_fract_z
_atom_site_occupancy
Pr1 Pr 0.216 0.068 0.355 1
Nd1 Nd 0.358 0.784 0.930 1
Nd2 Nd 0.500 0.500 0.500 1
Er1 Er 0.071 0.359 0.787 1
```

Largest 10 diffraction maxima, low angle first, 10° ≤ 2θ ≤ 90°:
| index | 2theta | I/Imax |
| --- | --- | --- |
| 1 1 2 | 30.0 | 100 |
| 0 2 1 | 30.2 | 33 |
| 1 2 -1 | 34.9 | 67 |
| 2 1 0 | 50.0 | 8 |
| 1 0 5 | 50.1 | 16 |
| 1 3 3 | 50.2 | 16 |
| 2 3 1 | 59.4 | 19 |
| 1 -2 4 | 59.6 | 19 |
| 1 4 0 | 59.7 | 19 |
| 2 2 4 | 62.4 | 8 |



5.
Starting from a GGA-PBE-relaxed structure, the XRD peak list of Pr2Nd5ErSc was computed for CuKα.
Kinematic intensities with the Lorentz-polarization factor, no thermal factor.

Structural model:
```
data_Pr2Nd5ErSc
_symmetry_space_group_name_H-M 'I 4/m c m'
_symmetry_Int_Tables_number 140
_symmetry_space_group_name_Hall '-I 4 2c'
_cell_length_a 8.461
_cell_length_b 8.461
_cell_length_c 17.214
_cell_angle_alpha 90.00
_cell_angle_beta 90.00
_cell_angle_gamma 90.00
loop_
_atom_site_label
_atom_site_type_symbol
_atom_site_fract_x
_atom_site_fract_y
_atom_site_fract_z
_atom_site_occupancy
Pr1 Pr 0.126 0.374 0.000 1
Nd1 Nd 0.000 0.000 0.000 1
Nd2 Nd 0.220 0.280 0.353 1
Er1 Er 0.000 0.000 0.250 1
Sc1 Sc 0.000 0.500 0.250 1
```

Largest 10 diffraction maxima, low angle first, 10° ≤ 2θ ≤ 90°:
| index | 2theta | I/Imax |
| --- | --- | --- |
| 2 1 3 | 28.3 | 54 |
| 2 0 4 | 29.6 | 100 |
| 2 2 0 | 29.9 | 54 |
| 0 0 6 | 31.2 | 14 |
| 3 1 0 | 33.5 | 24 |
| 2 0 6 | 37.9 | 17 |
| 3 2 1 | 38.7 | 14 |
| 3 1 4 | 39.7 | 18 |
| 0 0 8 | 42.0 | 12 |
| 4 2 4 | 52.9 | 29 |



6.
Starting from a GGA-PBE-relaxed structure, the XRD peak list of Pr4Nd2ErSc was computed for CuKα.
Kinematic intensities with the Lorentz-polarization factor, no thermal factor.

Structural model:
```
data_Pr4Nd2ErSc
_symmetry_space_group_name_H-M 'P 1 2/m 1'
_symmetry_Int_Tables_number 10
_cell_length_a 5.133
_cell_length_b 5.166
_cell_length_c 10.143
_cell_angle_alpha 90.00
_cell_angle_beta 90.05
_cell_angle_gamma 90.00
loop_
_symmetry_equiv_pos_as_xyz
'x,y,z'
'-x,-y,-z'
'-x,y,-z'
'x,-y,z'
loop_
_atom_site_label
_atom_site_type_symbol
_atom_site_fract_x
_atom_site_fract_y
_atom_site_fract_z
_atom_site_occupancy
Pr1 Pr 0.000 0.000 0.246 1
Pr2 Pr 0.499 0.500 0.246 1
Nd1 Nd 0.000 0.500 0.500 1
Nd2 Nd 0.500 0.000 0.000 1
Er1 Er 0.500 0.000 0.500 1
Sc1 Sc 0.000 0.500 0.000 1
```

Largest 10 diffraction maxima, low angle first, 10° ≤ 2θ ≤ 90°:
| index | 2theta | I/Imax |
| --- | --- | --- |
| 1 1 2 | 30.2 | 100 |
| 0 2 0 | 34.7 | 17 |
| 2 0 0 | 35.0 | 17 |
| 0 0 4 | 35.4 | 16 |
| 2 2 0 | 50.1 | 12 |
| 0 2 4 | 50.4 | 12 |
| 1 3 2 | 59.5 | 15 |
| 3 1 2 | 59.8 | 14 |
| 1 1 6 | 60.4 | 14 |
| 2 2 4 | 62.8 | 12 |



7.
Starting from a GGA-PBE-relaxed structure, the XRD peak list of Pr3Nd3ErSe8 was computed for CuKα.
Kinematic intensities with the Lorentz-polarization factor, no thermal factor.

Structural model:
```
data_Pr3Nd3ErSe8
_symmetry_space_group_name_H-M 'R -3 m'
_symmetry_Int_Tables_number 166
_symmetry_space_group_name_Hall '-R 3 2"'
_cell_length_a 8.4434
_cell_length_b 8.4434
_cell_length_c 20.7457
_cell_angle_alpha 90.00
_cell_angle_beta 90.00
_cell_angle_gamma 120.00
loop_
_atom_site_label
_atom_site_type_symbol
_atom_site_fract_x
_atom_site_fract_y
_atom_site_fract_z
_atom_site_occupancy
Pr1 Pr 0.0000 0.5000 0.0000 1
Nd1 Nd 0.0000 0.5000 0.5000 1
Er1 Er 0.0000 0.0000 0.5000 1
Se1 Se 0.0000 0.0000 0.2491 1
Se2 Se 0.0078 0.5039 0.2470 1
```

Largest 10 diffraction maxima, low angle first, 10° ≤ 2θ ≤ 90°:
| index | 2theta | I/Imax |
| --- | --- | --- |
| 0 0 3 | 12.8 | 12 |
| 0 0 6 | 25.8 | 10 |
| 0 2 4 | 29.9 | 100 |
| 2 2 0 | 42.8 | 74 |
| 0 0 12 | 53.0 | 7 |
| 4 0 4 | 53.1 | 20 |
| 0 4 8 | 62.1 | 12 |
| 2 2 12 | 70.4 | 17 |
| 2 4 4 | 70.5 | 17 |
| 6 0 0 | 78.4 | 19 |



8.
Starting from a GGA-PBE-relaxed structure, the XRD peak list of PrNd2Sm2Er was computed for CuKα.
Kinematic intensities with the Lorentz-polarization factor, no thermal factor.

Structural model:
```
data_PrNd2Sm2Er
_symmetry_space_group_name_H-M 'P m m a'
_symmetry_Int_Tables_number 51
_cell_length_a 7.107
_cell_length_b 5.748
_cell_length_c 9.951
_cell_angle_alpha 90.00
_cell_angle_beta 90.00
_cell_angle_gamma 90.00
loop_
_symmetry_equiv_pos_as_xyz
'x,y,z'
'-x,-y,-z'
'-x+1/2,-y,z'
'x+1/2,y,-z'
'x+1/2,-y,-z'
'-x+1/2,y,z'
'-x,y,-z'
'x,-y,z'
loop_
_atom_site_label
_atom_site_type_symbol
_atom_site_fract_x
_atom_site_fract_y
_atom_site_fract_z
_atom_site_occupancy
Pr1 Pr 0.250 0.000 0.159 1
Nd1 Nd 0.000 0.000 0.500 1
Nd2 Nd 0.250 0.500 0.675 1
Sm1 Sm 0.250 0.000 0.830 1
Sm2 Sm 0.250 0.500 0.336 1
Er1 Er 0.000 0.500 0.000 1
```

Largest 10 diffraction maxima, low angle first, 10° ≤ 2θ ≤ 90°:
| index | 2theta | I/Imax |
| --- | --- | --- |
| 2 0 2 | 30.9 | 93 |
| 0 2 0 | 31.1 | 100 |
| 2 2 2 | 44.4 | 34 |
| 2 3 1 | 55.3 | 36 |
| 0 3 3 | 55.4 | 19 |
| 4 2 0 | 61.3 | 29 |
| 0 4 0 | 64.9 | 12 |
| 2 4 2 | 73.6 | 15 |
| 4 3 3 | 79.0 | 14 |
| 4 4 0 | 87.3 | 11 |



> Which formula does entry 3 have?

PrNd3Er5